Tm5N4: computed powder diffractogram (Cu Kα X-rays), based on a GGA-PBE-relaxed structure.
Kinematic intensities with the Lorentz-polarization factor, no thermal factor.

Largest 10 diffraction maxima, in order of rising 2θ, 10 to 90 degrees two-theta:
| 2θ/deg | I_rel |
| --- | --- |
| 13.35 | 14.4 |
| 30.12 | 56.8 |
| 33.69 | 100.0 |
| 43.12 | 25.3 |
| 43.61 | 14.0 |
| 55.81 | 27.5 |
| 62.41 | 15.2 |
| 70.85 | 11.4 |
| 88.39 | 10.1 |
| 88.75 | 10.2 |

Atomic structure:
Cell lengths 6.8536, 6.8536, 6.8536 Å; angles 93.61, 93.61, 150.93 degrees
Fractional positions:
Tm: 0.0000 0.0000 0.0000
Tm: 0.2390 0.4098 0.6488
Tm: 0.4098 0.7610 0.1708
Tm: 0.5902 0.2390 0.8292
Tm: 0.7610 0.5902 0.3512
N: 0.1126 0.2108 0.3234
N: 0.2108 0.8874 0.0982
N: 0.7892 0.1126 0.9018
N: 0.8874 0.7892 0.6766

Tm4UN5: computed powder diffractogram (Cu Kα X-rays), based on a GGA-PBE-relaxed structure.
Kinematic intensities with the Lorentz-polarization factor, no thermal factor.

Largest 10 diffraction maxima, in order of rising 2θ, 10 to 90 degrees two-theta:
| 2θ/deg | I_rel |
| --- | --- |
| 32.20 | 100.0 |
| 37.24 | 22.9 |
| 37.41 | 45.4 |
| 53.81 | 31.5 |
| 53.94 | 15.6 |
| 64.00 | 15.0 |
| 64.23 | 29.6 |
| 67.38 | 15.9 |
| 88.45 | 13.3 |
| 88.66 | 6.7 |

Atomic structure:
Cell lengths 5.8925, 5.8925, 5.8925 Å; angles 99.67, 99.67, 131.62 degrees
Fractional positions:
Tm: 0.0989 0.6984 0.7974
Tm: 0.3016 0.0989 0.4005
Tm: 0.6984 0.9011 0.5995
Tm: 0.9011 0.3016 0.2026
U: 0.5000 0.5000 0.0000
N: 0.0000 0.0000 0.0000
N: 0.2109 0.4056 0.6165
N: 0.4056 0.7891 0.1947
N: 0.5944 0.2109 0.8053
N: 0.7891 0.5944 0.3835

TmU4N5: computed powder diffractogram (Cu Kα X-rays), based on a GGA-PBE-relaxed structure.
Kinematic intensities with the Lorentz-polarization factor, no thermal factor.

Largest 10 diffraction maxima, in order of rising 2θ, 10 to 90 degrees two-theta:
| 2θ/deg | I_rel |
| --- | --- |
| 31.98 | 100.0 |
| 37.05 | 43.8 |
| 37.19 | 21.6 |
| 53.40 | 15.3 |
| 53.51 | 30.5 |
| 63.61 | 30.5 |
| 63.81 | 15.2 |
| 66.87 | 15.9 |
| 87.67 | 7.0 |
| 87.84 | 13.9 |

Atomic structure:
Cell lengths 5.9400, 5.9400, 5.9400 Å; angles 99.53, 99.53, 131.97 degrees
Fractional positions:
Tm: 0.0000 0.0000 0.0000
U: 0.1999 0.6012 0.8011
U: 0.3988 0.1999 0.5986
U: 0.6012 0.8001 0.4014
U: 0.8001 0.3988 0.1989
N: 0.1003 0.2980 0.3983
N: 0.2980 0.8997 0.1977
N: 0.5000 0.5000 0.0000
N: 0.7020 0.1003 0.8023
N: 0.8997 0.7020 0.6017